Calculated powder diffractogram
Compound: Tm4Ge6Os7
Radiation: copper Kα
Structure: a DFT-relaxed cell (GGA-PBE, the Materials Project)
Intensities are scaled so that the largest is 100.

Unit cell a=7.214 b=7.214 c=7.214 alpha=109.47 beta=109.47 gamma=109.47
Atoms (fractional coordinates):
Tm 0.000 0.000 0.500
Tm 0.000 0.500 0.000
Tm 0.500 0.000 0.000
Tm 0.500 0.500 0.500
Ge 0.000 0.309 0.309
Ge 0.000 0.691 0.691
Ge 0.309 0.000 0.309
Ge 0.309 0.309 0.000
Ge 0.691 0.000 0.691
Ge 0.691 0.691 0.000
Os 0.000 0.000 0.000
Os 0.250 0.500 0.750
Os 0.250 0.750 0.500
Os 0.500 0.250 0.750
Os 0.500 0.750 0.250
Os 0.750 0.250 0.500
Os 0.750 0.500 0.250

Main lines, low angle first (2θ = 5–70°):
d 5.890, rel. 8
d 3.400, rel. 23
d 2.945, rel. 12
d 2.405, rel. 100
d 2.226, rel. 36
d 2.082, rel. 69
d 1.963, rel. 5
d 1.776, rel. 17
d 1.700, rel. 2
d 1.521, rel. 3
d 1.472, rel. 41
d 1.351, rel. 9